No. 1
Theoretical powder XRD pattern of NdBPt2 for λ = 1.5418 Å (Cu Kα), from a cell relaxed with PBE.
Lines closer than 0.1° are merged.

Structure:
```
NdBPt2
1.0
5.481 0.000 0.000
-2.740 4.747 0.000
0.000 0.000 8.035
Nd B Pt
3 3 6
Direct
0.000 0.500 0.333
0.500 0.000 0.000
0.500 0.500 0.667
0.000 0.500 0.833
0.500 0.000 0.500
0.500 0.500 0.167
0.154 0.307 0.000
0.154 0.846 0.667
0.307 0.154 0.333
0.693 0.846 0.333
0.846 0.154 0.667
0.846 0.693 0.000
```

Principal peaks in the range 2θ = 10–90°, sorted by position:
2theta	I (rel.)
32.7	14.5
33.5	41.9
34.6	100.0
39.8	72.4
56.8	25.8
59.6	19.5
63.2	17.2
67.6	14.7
68.5	15.1
78.4	19.8

---

No. 2
Theoretical powder XRD pattern of TbHoHf for λ = 1.5418 Å (Cu Kα), from a cell relaxed with PBE.
Lines closer than 0.1° are merged.

Structure:
```
TbHoHf
1.0
3.387 0.000 0.000
0.000 4.694 0.000
0.000 0.000 10.453
Tb Ho Hf
2 2 2
Direct
0.250 0.250 0.091
0.750 0.750 0.909
0.250 0.250 0.730
0.750 0.750 0.270
0.250 0.250 0.431
0.750 0.750 0.569
```

Principal peaks in the range 2θ = 10–90°, sorted by position:
2theta	I (rel.)
32.0	96.8
32.6	100.0
37.0	65.8
38.4	32.3
54.2	12.0
54.4	43.6
63.2	21.3
64.3	26.3
65.4	12.5
65.7	13.4

---

No. 3
Theoretical powder XRD pattern of LiTi2Zn6 for λ = 1.5418 Å (Cu Kα), from a cell relaxed with PBE.
Lines closer than 0.1° are merged.

Structure:
```
LiTi2Zn6
1.0
7.510 0.000 0.000
-3.755 6.504 0.000
0.000 0.000 2.798
Li Ti Zn
1 2 6
Direct
0.000 0.000 0.000
0.333 0.667 0.000
0.667 0.333 0.000
0.000 0.334 0.500
0.000 0.666 0.500
0.334 0.000 0.500
0.334 0.334 0.500
0.666 0.000 0.500
0.666 0.666 0.500
```

Principal peaks in the range 2θ = 10–90°, sorted by position:
2theta	I (rel.)
13.6	12.0
23.7	20.2
32.0	27.1
40.2	78.2
41.7	100.0
53.5	37.0
59.3	23.2
75.0	21.8
76.0	15.0
82.0	24.4

---

No. 4
Theoretical powder XRD pattern of LaTa2Mo for λ = 1.5418 Å (Cu Kα), from a cell relaxed with PBE.
Lines closer than 0.1° are merged.

Structure:
```
LaTa2Mo
1.0
3.271 0.000 0.000
0.000 3.271 0.000
0.000 0.000 7.990
La Ta Mo
1 2 1
Direct
0.000 0.000 0.000
0.500 0.500 0.314
0.500 0.500 0.686
0.000 0.000 0.500
```

Principal peaks in the range 2θ = 10–90°, sorted by position:
2theta	I (rel.)
11.1	17.3
29.5	21.9
33.6	17.0
35.5	100.0
38.9	58.1
43.8	20.6
52.4	19.9
56.2	19.9
64.9	10.0
68.3	29.5

---

No. 5
Theoretical powder XRD pattern of Mg4CdIn2 for λ = 1.5418 Å (Cu Kα), from a cell relaxed with PBE.
Lines closer than 0.1° are merged.

Structure:
```
Mg4CdIn2
1.0
2.533 -4.342 0.000
2.533 4.342 0.000
0.000 0.000 15.121
Mg Cd In
8 2 4
Direct
0.000 0.000 0.000
0.000 0.000 0.500
0.327 0.673 0.648
0.327 0.673 0.852
0.341 0.659 0.250
0.659 0.341 0.750
0.673 0.327 0.148
0.673 0.327 0.352
0.006 0.994 0.250
0.994 0.006 0.750
0.336 0.664 0.057
0.336 0.664 0.443
0.664 0.336 0.557
0.664 0.336 0.943
```

Principal peaks in the range 2θ = 10–90°, sorted by position:
2theta	I (rel.)
23.5	81.5
23.6	30.4
27.0	34.2
27.1	21.4
31.3	21.9
35.4	46.7
35.7	100.0
36.1	90.7
51.6	20.1
52.8	22.4

---

No. 6
Theoretical powder XRD pattern of CaPm4Mg5 for λ = 1.5418 Å (Cu Kα), from a cell relaxed with PBE.
Lines closer than 0.1° are merged.

Structure:
```
CaPm4Mg5
1.0
3.892 0.000 0.000
0.000 3.892 0.000
0.000 0.000 19.387
Ca Pm Mg
1 4 5
Direct
0.000 0.000 0.000
0.000 0.000 0.206
0.000 0.000 0.401
0.000 0.000 0.599
0.000 0.000 0.794
0.500 0.500 0.107
0.500 0.500 0.303
0.500 0.500 0.500
0.500 0.500 0.697
0.500 0.500 0.893
```

Principal peaks in the range 2θ = 10–90°, sorted by position:
2theta	I (rel.)
22.9	53.3
32.6	100.0
40.2	16.3
46.7	12.2
52.6	15.1
52.8	7.9
58.1	24.9
58.2	11.7
68.3	7.4
77.6	10.6

---

No. 7
Theoretical powder XRD pattern of Ce2SmCuSe5 for λ = 1.5418 Å (Cu Kα), from a cell relaxed with PBE.
Lines closer than 0.1° are merged.

Structure:
```
Ce2SmCuSe5
1.0
2.030 -8.732 0.000
2.030 8.732 0.000
0.000 0.000 12.466
Ce Sm Cu Se
4 2 2 10
Direct
0.111 0.889 0.500
0.117 0.883 0.845
0.883 0.117 0.345
0.889 0.111 0.000
0.178 0.822 0.178
0.822 0.178 0.678
0.448 0.552 0.574
0.552 0.448 0.074
0.013 0.987 0.168
0.303 0.697 0.845
0.314 0.686 0.508
0.345 0.655 0.171
0.495 0.505 0.899
0.505 0.495 0.399
0.655 0.345 0.671
0.686 0.314 0.008
0.697 0.303 0.345
0.987 0.013 0.668
```

Principal peaks in the range 2θ = 10–90°, sorted by position:
2theta	I (rel.)
23.7	15.2
31.2	100.0
31.6	22.0
33.9	12.2
36.9	47.4
40.4	13.4
43.6	13.6
44.6	24.8
44.9	11.8
49.6	13.6

---

No. 8
Theoretical powder XRD pattern of Ac2TbTmO6 for λ = 1.5418 Å (Cu Kα), from a cell relaxed with PBE.
Lines closer than 0.1° are merged.

Structure:
```
Ac2TbTmO6
1.0
6.021 0.000 0.000
0.000 6.187 0.000
-6.007 0.000 8.640
Ac Tb Tm O
4 2 2 12
Direct
0.236 0.047 0.250
0.236 0.453 0.750
0.764 0.547 0.250
0.764 0.953 0.750
0.500 0.000 0.000
0.500 0.500 0.500
0.000 0.000 0.500
0.000 0.500 0.000
0.134 0.203 0.938
0.134 0.297 0.438
0.237 0.698 0.939
0.237 0.802 0.439
0.361 0.048 0.747
0.361 0.452 0.247
0.639 0.548 0.753
0.639 0.952 0.253
0.763 0.198 0.561
0.763 0.302 0.061
0.866 0.703 0.562
0.866 0.797 0.062
```

Principal peaks in the range 2θ = 10–90°, sorted by position:
2theta	I (rel.)
28.9	22.3
29.3	100.0
29.7	23.6
41.9	32.1
51.4	15.1
51.6	10.5
52.1	11.7
52.4	22.7
60.7	12.2
68.7	12.5

---

No. 9
Theoretical powder XRD pattern of AcSn12Rh4 for λ = 1.5418 Å (Cu Kα), from a cell relaxed with PBE.
Lines closer than 0.1° are merged.

Structure:
```
AcSn12Rh4
1.0
-4.739 4.739 4.739
4.739 -4.739 4.739
4.739 4.739 -4.739
Ac Sn Rh
1 12 4
Direct
0.000 0.000 0.000
0.164 0.506 0.342
0.164 0.822 0.658
0.178 0.342 0.836
0.342 0.164 0.506
0.342 0.836 0.178
0.494 0.658 0.836
0.506 0.342 0.164
0.658 0.164 0.822
0.658 0.836 0.494
0.822 0.658 0.164
0.836 0.178 0.342
0.836 0.494 0.658
0.000 0.000 0.500
0.000 0.500 0.000
0.500 0.000 0.000
0.500 0.500 0.500
```

Principal peaks in the range 2θ = 10–90°, sorted by position:
2theta	I (rel.)
29.8	100.0
35.4	53.0
42.7	16.7
47.0	37.1
49.0	30.8
56.6	12.9
67.0	20.4
76.6	9.6
87.3	19.0
88.8	11.0

---

No. 10
Theoretical powder XRD pattern of TbPrGe2Pd5 for λ = 1.5418 Å (Cu Kα), from a cell relaxed with PBE.
Lines closer than 0.1° are merged.

Structure:
```
TbPrGe2Pd5
1.0
4.291 0.000 0.000
0.000 4.291 0.000
0.000 0.000 9.152
Tb Pr Ge Pd
1 1 2 5
Direct
0.000 0.000 0.000
0.000 0.000 0.500
0.500 0.500 0.134
0.500 0.500 0.866
0.000 0.500 0.270
0.000 0.500 0.730
0.500 0.000 0.270
0.500 0.000 0.730
0.500 0.500 0.500
```

Principal peaks in the range 2θ = 10–90°, sorted by position:
2theta	I (rel.)
28.5	11.6
35.5	100.0
39.4	11.7
42.0	13.2
42.1	46.3
44.9	9.0
59.0	14.5
61.1	15.2
68.9	12.9
72.7	24.1

---

No. 11
Theoretical powder XRD pattern of Na2SiCl6 for λ = 1.5418 Å (Cu Kα), from a cell relaxed with PBE.
Lines closer than 0.1° are merged.

Structure:
```
Na2SiCl6
1.0
6.223 0.000 0.000
0.000 6.223 0.000
0.000 0.000 11.715
Na Si Cl
4 2 12
Direct
0.000 0.000 0.165
0.000 0.000 0.835
0.500 0.500 0.335
0.500 0.500 0.665
0.000 0.000 0.500
0.500 0.500 0.000
0.177 0.177 0.363
0.177 0.177 0.637
0.244 0.244 0.000
0.256 0.744 0.500
0.323 0.677 0.137
0.323 0.677 0.863
0.677 0.323 0.137
0.677 0.323 0.863
0.744 0.256 0.500
0.756 0.756 0.000
0.823 0.823 0.363
0.823 0.823 0.637
```

Principal peaks in the range 2θ = 10–90°, sorted by position:
2theta	I (rel.)
15.1	17.7
16.1	35.9
20.2	56.2
30.6	100.0
32.2	33.1
39.8	39.2
41.0	28.3
43.8	15.2
44.9	17.0
49.8	30.5

---

No. 12
Theoretical powder XRD pattern of Ce3Ga3Pt for λ = 1.5418 Å (Cu Kα), from a cell relaxed with PBE.
Lines closer than 0.1° are merged.

Structure:
```
Ce3Ga3Pt
1.0
-1.835 2.240 9.798
1.835 -2.240 9.798
1.835 2.240 -9.798
Ce Ga Pt
3 3 1
Direct
0.000 0.000 0.000
0.384 0.384 0.000
0.701 0.201 0.500
0.130 0.630 0.500
0.556 0.556 0.000
0.835 0.835 0.000
0.262 0.762 0.500
```

Principal peaks in the range 2θ = 10–90°, sorted by position:
2theta	I (rel.)
24.1	15.0
32.8	100.0
33.4	53.3
36.6	16.2
37.9	52.1
40.3	31.6
42.2	17.6
49.7	18.3
53.3	29.1
64.1	22.0

---

Repeat the fifth record exactly.
Theoretical powder XRD pattern of Mg4CdIn2 for λ = 1.5418 Å (Cu Kα), from a cell relaxed with PBE.
Lines closer than 0.1° are merged.

Structure:
```
Mg4CdIn2
1.0
2.533 -4.342 0.000
2.533 4.342 0.000
0.000 0.000 15.121
Mg Cd In
8 2 4
Direct
0.000 0.000 0.000
0.000 0.000 0.500
0.327 0.673 0.648
0.327 0.673 0.852
0.341 0.659 0.250
0.659 0.341 0.750
0.673 0.327 0.148
0.673 0.327 0.352
0.006 0.994 0.250
0.994 0.006 0.750
0.336 0.664 0.057
0.336 0.664 0.443
0.664 0.336 0.557
0.664 0.336 0.943
```

Principal peaks in the range 2θ = 10–90°, sorted by position:
2theta	I (rel.)
23.5	81.5
23.6	30.4
27.0	34.2
27.1	21.4
31.3	21.9
35.4	46.7
35.7	100.0
36.1	90.7
51.6	20.1
52.8	22.4